(1)
Computed XRD peak list of Mo11Ir4 for λ = 1.5418 Å (Cu Kα), from a crystal structure in Alexandria, relaxed with PBE.
No peak broadening, texture or thermal motion is included.

Peak list (10 most intense, 2θ = 10–90°, sorted by position)
2θ 20.06, rel. 18
2θ 36.11, rel. 32
2θ 38.24, rel. 91
2θ 39.39, rel. 28
2θ 41.86, rel. 68
2θ 42.49, rel. 100
2θ 43.55, rel. 72
2θ 45.01, rel. 19
2θ 69.31, rel. 38
2θ 70.08, rel. 22

Cell and atoms:
```
Mo11Ir4
1.0
9.7051 0.0000 0.0000
0.0000 9.7051 0.0000
0.0000 0.0000 4.9749
Mo Ir
22 8
Direct
0.0000 0.0000 0.0000 Mo
0.0369 0.3700 0.5000 Mo
0.1061 0.1061 0.5000 Mo
0.1300 0.5369 0.0000 Mo
0.1809 0.8191 0.2498 Mo
0.1809 0.8191 0.7502 Mo
0.3191 0.3191 0.2502 Mo
0.3191 0.3191 0.7498 Mo
0.3700 0.0369 0.5000 Mo
0.3939 0.6061 0.0000 Mo
0.4631 0.8700 0.0000 Mo
0.5000 0.5000 0.5000 Mo
0.5369 0.1300 0.0000 Mo
0.6061 0.3939 0.0000 Mo
0.6300 0.9631 0.5000 Mo
0.6809 0.6809 0.2502 Mo
0.6809 0.6809 0.7498 Mo
0.8191 0.1809 0.2498 Mo
0.8191 0.1809 0.7502 Mo
0.8700 0.4631 0.0000 Mo
0.8939 0.8939 0.5000 Mo
0.9631 0.6300 0.5000 Mo
0.0697 0.2657 0.0000 Ir
0.2343 0.5697 0.5000 Ir
0.2657 0.0697 0.0000 Ir
0.4303 0.7657 0.5000 Ir
0.5697 0.2343 0.5000 Ir
0.7343 0.9303 0.0000 Ir
0.7657 0.4303 0.5000 Ir
0.9303 0.7343 0.0000 Ir
```


(2)
Computed XRD peak list of Mo5Ir4 for λ = 1.5418 Å (Cu Kα), from a crystal structure in Alexandria, relaxed with PBE.
No peak broadening, texture or thermal motion is included.

Peak list (10 most intense, 2θ = 10–90°, sorted by position)
2θ 28.47, rel. 19
2θ 32.52, rel. 9
2θ 40.41, rel. 89
2θ 40.99, rel. 100
2θ 53.27, rel. 14
2θ 58.92, rel. 29
2θ 74.27, rel. 30
2θ 74.67, rel. 17
2θ 82.67, rel. 27
2θ 88.90, rel. 12

Cell and atoms:
```
Mo5Ir4
1.0
7.6271 0.0000 0.0000
-3.8135 6.6052 0.0000
0.0000 0.0000 5.5064
Mo Ir
10 8
Direct
0.0000 0.3388 0.2500 Mo
0.0000 0.6612 0.7500 Mo
0.3333 0.6667 0.0000 Mo
0.3333 0.6667 0.5000 Mo
0.3388 0.0000 0.2500 Mo
0.3388 0.3388 0.7500 Mo
0.6612 0.0000 0.7500 Mo
0.6612 0.6612 0.2500 Mo
0.6667 0.3333 0.0000 Mo
0.6667 0.3333 0.5000 Mo
0.0000 0.0000 0.0000 Ir
0.0000 0.0000 0.5000 Ir
0.0000 0.3294 0.7500 Ir
0.0000 0.6706 0.2500 Ir
0.3294 0.0000 0.7500 Ir
0.3294 0.3294 0.2500 Ir
0.6706 0.0000 0.2500 Ir
0.6706 0.6706 0.7500 Ir
```